Structure and computed powder diffraction line list of Sc4V2O9 (a cell relaxed with PBE+U; Cu Kα, 1.54184 Å).
Intensities are scaled so that the largest is 100.

Structure:
```
data_Sc4V2O9
_chemical_formula_sum 'Sc16 V8 O36'
_cell_length_a 9.1772
_cell_length_b 5.2955
_cell_length_c 14.2836
_cell_angle_alpha 90.00
_cell_angle_beta 90.04
_cell_angle_gamma 90.00
_space_group_name_H-M_alt 'C 1 2/c 1'
_space_group_IT_number 15
loop_
_space_group_symop_operation_xyz
'x,y,z'
'-x,-y,-z'
'-x,y,-z+1/2'
'x,-y,z+1/2'
'x+1/2,y+1/2,z'
'-x+1/2,-y+1/2,-z'
'-x+1/2,y+1/2,-z+1/2'
'x+1/2,-y+1/2,z+1/2'
loop_
_atom_site_label
_atom_site_type_symbol
_atom_site_fract_x
_atom_site_fract_y
_atom_site_fract_z
Sc1 Sc 0.1667 0.9999 0.0251
Sc2 Sc 0.1669 0.9996 0.3137
V1 V 0.0001 0.4995 0.1485
O1 O 0.0000 0.2079 0.7500
O2 O 0.0168 0.1583 0.4160
O3 O 0.1466 0.3527 0.2500
O4 O 0.1624 0.3038 0.9162
O5 O 0.1793 0.3544 0.5839
```

Most intense lines, 2θ = 10–90°, by angle:
| 2theta | I_rel |
| --- | --- |
| 23.0 | 41 |
| 31.8 | 100 |
| 33.8 | 73 |
| 38.9 | 33 |
| 47.1 | 45 |
| 51.6 | 62 |
| 59.2 | 37 |
| 60.6 | 41 |
| 68.8 | 14 |
| 80.1 | 10 |
| 83.5 | 12 |
| 88.7 | 11 |